# 1
Theoretical powder XRD pattern
Compound: ZnBr2
Radiation: Cu Kα
Structure: a crystal structure in the Materials Project, relaxed with GGA-PBE
Neutral-atom scattering factors, no anomalous dispersion.

```
data_ZnBr2
_space_group_name_H-M_alt 'P 1'
_space_group_IT_number 1
_space_group_name_Hall 'P 1'
_cell_length_a 6.321
_cell_length_b 4.281
_cell_length_c 7.066
_cell_angle_alpha 90.00
_cell_angle_beta 100.11
_cell_angle_gamma 90.00
loop_
_atom_site_label
_atom_site_fract_x
_atom_site_fract_y
_atom_site_fract_z
_atom_site_occupancy
Zn1 0.000 0.000 0.000 1
Zn2 0.500 0.500 0.000 1
Br1 0.233 0.500 0.208 1
Br2 0.267 0.000 0.792 1
Br3 0.733 0.000 0.208 1
Br4 0.767 0.500 0.792 1
```

Top 10 peaks for 15 to 90 degrees two-theta, in order of rising 2θ:
- d 3.280, intensity 20
- d 3.027, intensity 100
- d 2.552, intensity 32
- d 2.362, intensity 28
- d 2.140, intensity 34
- d 2.033, intensity 25
- d 1.879, intensity 27
- d 1.640, intensity 16
- d 1.625, intensity 12
- d 1.354, intensity 11

# 2
Theoretical powder XRD pattern
Compound: ZnBr2
Radiation: Cu Kα
Structure: a crystal structure in the Materials Project, relaxed with GGA-PBE
Neutral-atom scattering factors, no anomalous dispersion.

```
data_ZnBr2
_space_group_name_H-M_alt 'P 1'
_space_group_IT_number 1
_space_group_name_Hall 'P 1'
_cell_length_a 13.953
_cell_length_b 13.953
_cell_length_c 13.953
_cell_angle_alpha 129.83
_cell_angle_beta 129.83
_cell_angle_gamma 73.68
loop_
_atom_site_label
_atom_site_fract_x
_atom_site_fract_y
_atom_site_fract_z
_atom_site_occupancy
Zn1 0.062 0.296 0.984 1
Zn2 0.078 0.062 0.266 1
Zn3 0.188 0.922 0.484 1
Zn4 0.204 0.438 0.516 1
Zn5 0.296 0.812 0.234 1
Zn6 0.312 0.796 0.734 1
Zn7 0.422 0.688 0.984 1
Zn8 0.438 0.422 0.234 1
Zn9 0.562 0.578 0.766 1
Zn10 0.578 0.312 0.016 1
Zn11 0.688 0.204 0.266 1
Zn12 0.704 0.188 0.766 1
Zn13 0.796 0.562 0.484 1
Zn14 0.812 0.078 0.516 1
Zn15 0.922 0.938 0.734 1
Zn16 0.938 0.704 0.016 1
Br1 0.002 0.252 0.750 1
Br2 0.025 0.250 0.275 1
Br3 0.110 0.633 0.995 1
Br4 0.115 0.110 0.977 1
Br5 0.133 0.610 0.495 1
Br6 0.139 0.115 0.505 1
Br7 0.248 0.498 0.750 1
Br8 0.250 0.475 0.225 1
Br9 0.250 0.975 0.725 1
Br10 0.252 0.002 0.250 1
Br11 0.361 0.867 0.977 1
Br12 0.367 0.861 0.477 1
Br13 0.385 0.361 0.995 1
Br14 0.390 0.385 0.523 1
Br15 0.475 0.750 0.225 1
Br16 0.498 0.248 0.250 1
Br17 0.502 0.752 0.750 1
Br18 0.525 0.250 0.775 1
Br19 0.610 0.615 0.477 1
Br20 0.615 0.639 0.005 1
Br21 0.633 0.139 0.523 1
Br22 0.639 0.133 0.023 1
Br23 0.748 0.998 0.750 1
Br24 0.750 0.025 0.275 1
Br25 0.750 0.525 0.775 1
Br26 0.752 0.502 0.250 1
Br27 0.861 0.885 0.495 1
Br28 0.867 0.390 0.505 1
Br29 0.885 0.890 0.023 1
Br30 0.890 0.367 0.005 1
Br31 0.975 0.750 0.725 1
Br32 0.998 0.748 0.250 1
```

Top 10 peaks for 15 to 90 degrees two-theta, in order of rising 2θ:
- d 4.313, intensity 25
- d 3.348, intensity 100
- d 2.958, intensity 11
- d 2.644, intensity 12
- d 2.091, intensity 24
- d 2.030, intensity 47
- d 1.774, intensity 26
- d 1.700, intensity 13
- d 1.319, intensity 9
- d 1.195, intensity 11

# 3
Theoretical powder XRD pattern
Compound: Zr3Br
Radiation: Cu Kα
Structure: a crystal structure in the Materials Project, relaxed with GGA-PBE
Neutral-atom scattering factors, no anomalous dispersion.

```
data_Zr3Br
_space_group_name_H-M_alt 'P 1'
_space_group_IT_number 1
_space_group_name_Hall 'P 1'
_cell_length_a 6.181
_cell_length_b 6.181
_cell_length_c 5.404
_cell_angle_alpha 90.00
_cell_angle_beta 90.00
_cell_angle_gamma 120.00
loop_
_atom_site_label
_atom_site_fract_x
_atom_site_fract_y
_atom_site_fract_z
_atom_site_occupancy
Zr1 0.162 0.324 0.250 1
Zr2 0.162 0.838 0.250 1
Zr3 0.324 0.162 0.750 1
Zr4 0.676 0.838 0.250 1
Zr5 0.838 0.162 0.750 1
Zr6 0.838 0.676 0.750 1
Br1 0.333 0.667 0.750 1
Br2 0.667 0.333 0.250 1
```

Top 10 peaks for 15 to 90 degrees two-theta, in order of rising 2θ:
- d 2.702, intensity 32
- d 2.676, intensity 23
- d 2.398, intensity 100
- d 1.901, intensity 16
- d 1.545, intensity 16
- d 1.494, intensity 22
- d 1.351, intensity 3
- d 1.341, intensity 20
- d 1.299, intensity 13
- d 1.206, intensity 4

# 4
Theoretical powder XRD pattern
Compound: ZrBr4
Radiation: Cu Kα
Structure: a crystal structure in the Materials Project, relaxed with GGA-PBE
Neutral-atom scattering factors, no anomalous dispersion.

```
data_ZrBr4
_space_group_name_H-M_alt 'P 1'
_space_group_IT_number 1
_space_group_name_Hall 'P 1'
_cell_length_a 12.948
_cell_length_b 12.948
_cell_length_c 12.948
_cell_angle_alpha 90.00
_cell_angle_beta 90.00
_cell_angle_gamma 90.00
loop_
_atom_site_label
_atom_site_fract_x
_atom_site_fract_y
_atom_site_fract_z
_atom_site_occupancy
Zr1 0.127 0.127 0.127 1
Zr2 0.127 0.373 0.627 1
Zr3 0.373 0.627 0.127 1
Zr4 0.373 0.873 0.627 1
Zr5 0.627 0.127 0.373 1
Zr6 0.627 0.373 0.873 1
Zr7 0.873 0.627 0.373 1
Zr8 0.873 0.873 0.873 1
Br1 0.014 0.238 0.018 1
Br2 0.014 0.262 0.518 1
Br3 0.018 0.014 0.238 1
Br4 0.018 0.486 0.738 1
Br5 0.238 0.018 0.014 1
Br6 0.238 0.238 0.238 1
Br7 0.238 0.262 0.738 1
Br8 0.238 0.482 0.514 1
Br9 0.262 0.518 0.014 1
Br10 0.262 0.738 0.238 1
Br11 0.262 0.762 0.738 1
Br12 0.262 0.982 0.514 1
Br13 0.482 0.514 0.238 1
Br14 0.482 0.986 0.738 1
Br15 0.486 0.738 0.018 1
Br16 0.486 0.762 0.518 1
Br17 0.514 0.238 0.482 1
Br18 0.514 0.262 0.982 1
Br19 0.518 0.014 0.262 1
Br20 0.518 0.486 0.762 1
Br21 0.738 0.018 0.486 1
Br22 0.738 0.238 0.262 1
Br23 0.738 0.262 0.762 1
Br24 0.738 0.482 0.986 1
Br25 0.762 0.518 0.486 1
Br26 0.762 0.738 0.262 1
Br27 0.762 0.762 0.762 1
Br28 0.762 0.982 0.986 1
Br29 0.982 0.514 0.262 1
Br30 0.982 0.986 0.762 1
Br31 0.986 0.738 0.482 1
Br32 0.986 0.762 0.982 1
```

Top 10 peaks for 15 to 90 degrees two-theta, in order of rising 2θ:
- d 5.790, intensity 41
- d 5.286, intensity 32
- d 3.738, intensity 100
- d 3.237, intensity 24
- d 2.404, intensity 10
- d 2.289, intensity 57
- d 1.952, intensity 36
- d 1.779, intensity 9
- d 1.485, intensity 11
- d 1.321, intensity 13

Q: Which formula does entry 3 have?
A: Zr3Br